Starting from a cell relaxed with PBE, the powder XRD pattern of Th2SiPIr6 was simulated for CuKα.
Lines closer than 0.1° are merged.

Crystal structure
Cell: 5.581 8.574 7.807 Å, 90.00 90.00 90.00°
Space group Pmmn (No. 59, origin choice 2)
Symmetry-distinct sites (fractional):
1 Th 0.250 0.013 0.225 (multiplicity 4)
2 Si 0.250 0.750 0.763 (multiplicity 2)
3 P 0.250 0.250 0.747 (multiplicity 2)
4 Ir 0.002 0.750 0.500 (multiplicity 4)
5 Ir 0.006 0.750 0.018 (multiplicity 4)
6 Ir 0.250 0.501 0.613 (multiplicity 4)

The 10 most intense peaks (2θ from 5° to 70°), in order of rising 2θ:
| two_theta | d_spacing | Rel. int. | (hkl) |
| --- | --- | --- | --- |
| 11.33 | 7.807 | 187 | 0 0 1 |
| 27.89 | 3.199 | 266 | 1 0 2 |
| 30.98 | 2.886 | 852 | 0 2 2 |
| 35.00 | 2.564 | 295 | 1 2 2 |
| 38.16 | 2.358 | 191 | 1 0 3 |
| 38.49 | 2.339 | 1000 | 2 2 0 |
| 39.70 | 2.270 | 550 | 2 0 2 |
| 42.16 | 2.143 | 442 | 0 4 0 |
| 43.81 | 2.066 | 379 | 1 2 3 |
| 59.29 | 1.559 | 333 | 2 4 2 |